(1)
Calculated powder diffraction line list
Compound: BaMn2O3
Radiation: Cu Kα (λ = 1.5418 Å)
Structure: a structure optimized by DFT (PBE+U)
No peak broadening, texture or thermal motion is included.

Crystal structure
a = 3.668 Å, b = 4.387 Å, c = 11.172 Å
α = 90.00°, β = 90.00°, γ = 90.00°
Space group Immm (No. 71)
Asymmetric unit:
Ba 0.000 0.000 0.000
Mn 0.000 0.000 0.311
O 0.000 0.000 0.500
O 0.000 0.500 0.294

Most intense lines, 5° ≤ 2θ ≤ 70°, in order of rising 2θ:
(hkl)	two_theta	I_rel
0 1 1	21.8	32
0 1 3	31.5	73
1 1 0	31.8	100
0 0 4	32.0	26
1 0 3	34.3	93
1 1 2	35.7	26
0 2 0	41.2	40
1 1 4	45.8	26
1 2 3	54.6	46
1 1 6	59.5	29

***

(2)
Calculated powder diffraction line list
Compound: Gd2NiPtO6
Radiation: Cu Kα (λ = 1.5418 Å)
Structure: a structure optimized by DFT (PBE+U)
No peak broadening, texture or thermal motion is included.

Crystal structure
a = 5.397 Å, b = 5.772 Å, c = 9.442 Å
α = 90.00°, β = 124.69°, γ = 90.00°
Space group P2_1/c (No. 14)
Asymmetric unit:
Gd 0.225 0.072 0.248
Ni 0.000 0.000 0.500
Pt 0.500 0.000 0.000
O 0.135 0.193 0.944
O 0.251 0.700 0.938
O 0.370 0.044 0.751

Most intense lines, 5° ≤ 2θ ≤ 70°, in order of rising 2θ:
(hkl)	two_theta	I_rel
0 1 1	19.2	12
1 1 0	25.3	13
0 2 0	31.0	20
1 1 -3	32.4	100
2 0 -2	33.2	32
2 2 -2	46.1	17
0 0 4	46.8	13
1 3 0	51.8	11
2 0 -6	58.7	16
3 1 -5	58.9	12

***

(3)
Calculated powder diffraction line list
Compound: Mn3OF5
Radiation: Cu Kα (λ = 1.5418 Å)
Structure: a structure optimized by DFT (PBE+U)
No peak broadening, texture or thermal motion is included.

Crystal structure
a = 5.902 Å, b = 4.855 Å, c = 8.114 Å
α = 90.00°, β = 92.14°, γ = 90.00°
Space group P2_1 (No. 4)
Asymmetric unit:
Mn 0.068 0.000 0.328
Mn 0.253 0.499 0.987
Mn 0.408 0.958 0.669
O 0.224 0.675 0.779
F 0.050 0.780 0.096
F 0.123 0.171 0.565
F 0.283 0.301 0.214
F 0.380 0.775 0.429
F 0.449 0.189 0.900

Most intense lines, 5° ≤ 2θ ≤ 70°, in order of rising 2θ:
(hkl)	two_theta	I_rel
1 1 -1	25.9	100
2 0 1	32.7	15
1 1 2	32.9	27
0 0 3	33.1	12
2 1 1	37.7	12
3 1 0	50.1	17
2 2 1	50.2	16
0 2 3	50.5	16
1 1 -4	50.7	16
2 2 -2	53.4	19

***

(4)
Calculated powder diffraction line list
Compound: Ba2SmVO6
Radiation: Cu Kα (λ = 1.5418 Å)
Structure: a structure optimized by DFT (PBE+U)
No peak broadening, texture or thermal motion is included.

Crystal structure
a = 8.437 Å, b = 8.437 Å, c = 8.437 Å
α = 90.00°, β = 90.00°, γ = 90.00°
Space group Pn-3 (No. 201, origin choice 2)
Asymmetric unit:
Ba 0.250 0.250 0.250
Ba 0.250 0.250 0.750
Sm 0.000 0.000 0.000
V 0.000 0.000 0.500
O 0.008 0.227 0.508

Most intense lines, 5° ≤ 2θ ≤ 70°, in order of rising 2θ:
(hkl)	two_theta	I_rel
1 1 1	18.2	8
2 2 0	30.0	100
3 1 1	35.3	7
2 2 2	36.9	5
4 0 0	42.9	30
3 3 1	46.9	5
4 2 2	53.2	39
3 3 3	56.7	2
4 4 0	62.2	18
5 3 1	65.4	2